[1]
Computed XRD peak list
Compound: Sr3Tb3CdSe8
Radiation: Cu Ka
Structure: a crystal structure in Alexandria, relaxed with PBE

Crystal structure
```
data_Sr3Tb3CdSe8
_chemical_formula_sum 'Sr9 Tb9 Cd3 Se24'
_cell_length_a 8.3796
_cell_length_b 8.3796
_cell_length_c 21.3100
_cell_angle_alpha 90.00
_cell_angle_beta 90.00
_cell_angle_gamma 120.00
_symmetry_space_group_name_H-M 'R -3 m'
_symmetry_Int_Tables_number 166
_symmetry_space_group_name_Hall '-R 3 2"'
loop_
_atom_site_label
_atom_site_type_symbol
_atom_site_fract_x
_atom_site_fract_y
_atom_site_fract_z
Sr1 Sr 0.0000 0.5000 0.0000
Tb1 Tb 0.0000 0.5000 0.5000
Cd1 Cd 0.0000 0.0000 0.5000
Se1 Se 0.0000 0.0000 0.2437
Se2 Se 0.0030 0.5015 0.7576
```

Top 10 peaks for 15° ≤ 2θ ≤ 90°, sorted by position:
index, Position (°2θ), I_rel
0 2 4, 29.79, 100
2 0 8, 42.08, 37
2 2 0, 43.18, 36
0 0 12, 51.46, 6
4 0 4, 53.35, 19
0 4 8, 61.88, 12
2 2 12, 69.38, 15
2 4 4, 70.97, 16
0 2 16, 76.13, 7
4 2 8, 78.43, 12

---

[2]
Computed XRD peak list
Compound: Pm2Ge2Rh3
Radiation: Cu Ka
Structure: a crystal structure in Alexandria, relaxed with PBE

Crystal structure
```
data_Pm2Ge2Rh3
_chemical_formula_sum 'Pm4 Ge4 Rh6'
_cell_length_a 10.7802
_cell_length_b 3.8175
_cell_length_c 7.1470
_cell_angle_alpha 90.00
_cell_angle_beta 113.91
_cell_angle_gamma 90.00
_symmetry_space_group_name_H-M 'C 1 2/m 1'
_symmetry_Int_Tables_number 12
loop_
_symmetry_equiv_pos_as_xyz
'x,y,z'
'-x,-y,-z'
'-x,y,-z'
'x,-y,z'
'x+1/2,y+1/2,z'
'-x+1/2,-y+1/2,-z'
'-x+1/2,y+1/2,-z'
'x+1/2,-y+1/2,z'
loop_
_atom_site_label
_atom_site_type_symbol
_atom_site_fract_x
_atom_site_fract_y
_atom_site_fract_z
Pm1 Pm 0.1230 0.0000 0.2662
Ge1 Ge 0.1548 0.0000 0.7297
Rh1 Rh 0.0000 0.5000 0.5000
Rh2 Rh 0.1269 0.5000 0.9382
```

Top 10 peaks for 15° ≤ 2θ ≤ 90°, sorted by position:
index, Position (°2θ), I_rel
1 1 1, 30.30, 13
3 1 -1, 34.40, 100
4 0 -2, 35.66, 11
3 1 0, 36.07, 18
4 0 0, 36.47, 25
2 0 -3, 37.79, 20
3 1 -2, 38.12, 29
1 1 2, 40.10, 53
0 2 0, 47.64, 26
7 1 -2, 65.36, 11

---

[3]
Computed XRD peak list
Compound: KBi8Pd4
Radiation: Cu Ka
Structure: a crystal structure in Alexandria, relaxed with PBE

Crystal structure
```
data_KBi8Pd4
_chemical_formula_sum 'K3 Bi24 Pd12'
_cell_length_a 8.7836
_cell_length_b 8.7836
_cell_length_c 21.4350
_cell_angle_alpha 90.00
_cell_angle_beta 90.00
_cell_angle_gamma 120.00
_symmetry_space_group_name_H-M 'R -3 m'
_symmetry_Int_Tables_number 166
_symmetry_space_group_name_Hall '-R 3 2"'
loop_
_atom_site_label
_atom_site_type_symbol
_atom_site_fract_x
_atom_site_fract_y
_atom_site_fract_z
K1 K 0.0000 0.0000 0.0000
Bi1 Bi 0.0000 0.0000 0.2781
Bi2 Bi 0.0757 0.5378 0.2574
Pd1 Pd 0.0000 0.0000 0.5000
Pd2 Pd 0.0000 0.5000 0.0000
```

Top 10 peaks for 15° ≤ 2θ ≤ 90°, sorted by position:
index, Position (°2θ), I_rel
0 0 6, 24.86, 49
0 2 4, 28.78, 100
1 2 5, 37.67, 80
2 2 0, 41.11, 26
2 0 8, 41.21, 27
2 2 3, 43.11, 17
3 0 6, 43.75, 13
3 2 1, 52.63, 21
3 0 9, 52.75, 19
3 3 6, 69.36, 11

---

[4]
Computed XRD peak list
Compound: Ta2CrAs
Radiation: Cu Ka
Structure: a crystal structure in Alexandria, relaxed with PBE

Crystal structure
```
data_Ta2CrAs
_chemical_formula_sum 'Ta2 Cr1 As1'
_cell_length_a 3.2705
_cell_length_b 4.0690
_cell_length_c 5.0619
_cell_angle_alpha 90.00
_cell_angle_beta 108.76
_cell_angle_gamma 90.00
_symmetry_space_group_name_H-M 'P 1 m 1'
_symmetry_Int_Tables_number 6
loop_
_symmetry_equiv_pos_as_xyz
'x,y,z'
'x,-y,z'
loop_
_atom_site_label
_atom_site_type_symbol
_atom_site_fract_x
_atom_site_fract_y
_atom_site_fract_z
Ta1 Ta 0.0000 0.0000 0.0000
Ta2 Ta 0.2944 0.5000 0.5885
Cr1 Cr 0.7378 0.0000 0.4783
As1 As 0.5723 0.5000 0.1443
```

Top 10 peaks for 15° ≤ 2θ ≤ 90°, sorted by position:
index, Position (°2θ), I_rel
0 1 1, 28.79, 48
1 1 -1, 36.47, 100
0 0 2, 37.53, 25
1 0 1, 39.43, 37
0 1 2, 43.84, 22
0 2 0, 44.53, 28
1 1 -2, 45.52, 29
2 0 -1, 56.26, 14
1 1 -3, 60.42, 16
1 2 1, 60.97, 21